# Ag2HgPt2
Simulated XRD peak list, Cu Kα (λ = 1.5418 Å). Input: a structure optimized by DFT (PBE).

Crystal structure
Lattice parameters (Å, degrees): 6.9391 6.9391 6.9391 147.45 147.45 46.70
Sites, in units of the cell vectors:
1 Ag 0.2500 0.7500 0.5000
2 Ag 0.7500 0.2500 0.5000
3 Hg 0.0000 0.0000 0.0000
4 Pt 0.4003 0.4003 0.0000
5 Pt 0.5997 0.5997 0.0000

Most intense lines, 15° ≤ 2θ ≤ 90°, in order of rising 2θ:
- 31.2 deg, I 47
- 32.6 deg, I 27
- 35.6 deg, I 100
- 42.4 deg, I 71
- 43.5 deg, I 21
- 46.7 deg, I 51
- 57.2 deg, I 17
- 64.9 deg, I 41
- 79.3 deg, I 19
- 83.7 deg, I 30